1.
This entry pairs a crystal structure of Tb2Dy6YMg with its theoretical powder X-ray diffraction pattern. Radiation: Cu Ka. Structure: a GGA-PBE-relaxed structure.

Atomic structure:
```
data_Tb2Dy6YMg
_space_group_name_H-M_alt 'C 1 2/c 1'
_space_group_IT_number 15
_space_group_name_Hall '-C 2yc'
_cell_length_a 9.890
_cell_length_b 19.483
_cell_length_c 6.612
_cell_angle_alpha 90.00
_cell_angle_beta 99.76
_cell_angle_gamma 90.00
loop_
_atom_site_label
_atom_site_type_symbol
_atom_site_fract_x
_atom_site_fract_y
_atom_site_fract_z
Tb1 Tb 0.234 0.084 0.496
Dy1 Dy 0.060 0.353 0.032
Dy2 Dy 0.117 0.086 0.979
Dy3 Dy 0.176 0.240 0.721
Y1 Y 0.000 0.492 0.750
Mg1 Mg 0.000 0.205 0.250
```

Peak list (6 most intense, 2θ from 10° to 90°, sorted by position)
| d [Å] | 2theta | I/Imax | hkl |
| --- | --- | --- | --- |
| 3.207 | 27.82 | 23.2 | 3 1 0 |
| 3.086 | 28.93 | 27.3 | 1 5 1 |
| 2.819 | 31.74 | 63.3 | 3 3 -1 |
| 2.705 | 33.12 | 100.0 | 0 4 2 |
| 2.677 | 33.47 | 25.8 | 1 7 0 |
| 1.625 | 56.64 | 25.7 | 3 3 3 |

2.
This entry pairs a crystal structure of LaMgCu with its theoretical powder X-ray diffraction pattern. Radiation: Cu Ka. Structure: a GGA-PBE-relaxed structure.

Atomic structure:
```
data_LaMgCu
_space_group_name_H-M_alt 'I 4 m m'
_space_group_IT_number 107
_space_group_name_Hall 'I 4 -2'
_cell_length_a 3.355
_cell_length_b 3.355
_cell_length_c 12.431
_cell_angle_alpha 90.00
_cell_angle_beta 90.00
_cell_angle_gamma 90.00
loop_
_atom_site_label
_atom_site_type_symbol
_atom_site_fract_x
_atom_site_fract_y
_atom_site_fract_z
La1 La 0.000 0.000 0.000
Mg1 Mg 0.000 0.000 0.279
Cu1 Cu 0.000 0.000 0.664
```

Peak list (6 most intense, 2θ from 10° to 90°, sorted by position)
| d [Å] | 2theta | I/Imax | hkl |
| --- | --- | --- | --- |
| 6.215 | 14.25 | 38.4 | 0 0 2 |
| 3.239 | 27.54 | 38.0 | 1 0 1 |
| 2.607 | 34.40 | 100.0 | 1 0 3 |
| 2.372 | 37.93 | 42.0 | 1 1 0 |
| 1.560 | 59.21 | 15.9 | 1 1 6 |
| 1.411 | 66.25 | 28.2 | 2 1 3 |

3.
This entry pairs a crystal structure of SmCuPd2 with its theoretical powder X-ray diffraction pattern. Radiation: Cu Ka. Structure: a GGA-PBE-relaxed structure.

Atomic structure:
```
data_SmCuPd2
_space_group_name_H-M_alt 'P n n a'
_space_group_IT_number 52
_space_group_name_Hall '-P 2a 2bc'
_cell_length_a 5.258
_cell_length_b 3.521
_cell_length_c 17.067
_cell_angle_alpha 90.00
_cell_angle_beta 90.00
_cell_angle_gamma 90.00
loop_
_atom_site_label
_atom_site_type_symbol
_atom_site_fract_x
_atom_site_fract_y
_atom_site_fract_z
Sm1 Sm 0.250 0.000 0.115
Cu1 Cu 0.250 0.000 0.629
Pd1 Pd 0.000 0.000 0.500
Pd2 Pd 0.019 0.250 0.750
```

Peak list (6 most intense, 2θ from 10° to 90°, sorted by position)
| d [Å] | 2theta | I/Imax | hkl |
| --- | --- | --- | --- |
| 2.767 | 32.35 | 95.1 | 1 1 2 |
| 2.451 | 36.67 | 28.6 | 0 1 5 |
| 2.238 | 40.29 | 100.0 | 2 0 4 |
| 2.133 | 42.37 | 40.8 | 0 0 8 |
| 2.091 | 43.27 | 26.9 | 2 1 1 |
| 2.039 | 44.42 | 35.5 | 1 1 6 |

4.
This entry pairs a crystal structure of K3Bi2As3O12 with its theoretical powder X-ray diffraction pattern. Radiation: Cu Ka. Structure: a GGA-PBE-relaxed structure.

Atomic structure:
```
data_K3Bi2As3O12
_space_group_name_H-M_alt 'C 1 2/c 1'
_space_group_IT_number 15
_space_group_name_Hall '-C 2yc'
_cell_length_a 14.256
_cell_length_b 14.083
_cell_length_c 7.201
_cell_angle_alpha 90.00
_cell_angle_beta 114.94
_cell_angle_gamma 90.00
loop_
_atom_site_label
_atom_site_type_symbol
_atom_site_fract_x
_atom_site_fract_y
_atom_site_fract_z
K1 K 0.000 0.000 0.000
K2 K 0.000 0.224 0.250
K3 K 0.000 0.491 0.250
Bi1 Bi 0.235 0.350 0.166
As1 As 0.000 0.250 0.750
As2 As 0.243 0.395 0.637
O1 O 0.066 0.327 0.953
O2 O 0.075 0.179 0.675
O3 O 0.142 0.069 0.360
O4 O 0.169 0.489 0.654
O5 O 0.171 0.336 0.407
O6 O 0.237 0.182 0.159
```

Peak list (6 most intense, 2θ from 10° to 90°, sorted by position)
| d [Å] | 2theta | I/Imax | hkl |
| --- | --- | --- | --- |
| 6.463 | 13.70 | 86.6 | 2 0 0 |
| 4.585 | 19.36 | 31.9 | 2 2 -1 |
| 3.283 | 27.16 | 30.4 | 3 1 -2 |
| 3.231 | 27.60 | 55.7 | 4 0 0 |
| 3.093 | 28.87 | 100.0 | 2 4 0 |
| 2.828 | 31.64 | 57.2 | 1 3 -2 |

5.
This entry pairs a crystal structure of AlNi6As with its theoretical powder X-ray diffraction pattern. Radiation: Cu Ka. Structure: a GGA-PBE-relaxed structure.

Atomic structure:
```
data_AlNi6As
_space_group_name_H-M_alt 'P 4/m m m'
_space_group_IT_number 123
_space_group_name_Hall '-P 4 2'
_cell_length_a 5.054
_cell_length_b 5.054
_cell_length_c 3.573
_cell_angle_alpha 90.00
_cell_angle_beta 90.00
_cell_angle_gamma 90.00
loop_
_atom_site_label
_atom_site_type_symbol
_atom_site_fract_x
_atom_site_fract_y
_atom_site_fract_z
Al1 Al 0.000 0.000 0.000
Ni1 Ni 0.000 0.500 0.000
Ni2 Ni 0.249 0.249 0.500
As1 As 0.500 0.500 0.000
```

Peak list (6 most intense, 2θ from 10° to 90°, sorted by position)
| d [Å] | 2theta | I/Imax | hkl |
| --- | --- | --- | --- |
| 5.054 | 17.55 | 4.9 | 1 0 0 |
| 2.917 | 30.65 | 3.1 | 1 0 1 |
| 2.063 | 43.88 | 100.0 | 2 0 1 |
| 1.910 | 47.61 | 1.5 | 2 1 1 |
| 1.787 | 51.12 | 46.7 | 2 2 0 |
| 1.263 | 75.21 | 27.4 | 4 0 0 |

6.
This entry pairs a crystal structure of PrSmDyY with its theoretical powder X-ray diffraction pattern. Radiation: Cu Ka. Structure: a GGA-PBE-relaxed structure.

Atomic structure:
```
data_PrSmDyY
_space_group_name_H-M_alt 'I -4 m 2'
_space_group_IT_number 119
_space_group_name_Hall 'I -4 -2'
_cell_length_a 5.125
_cell_length_b 5.125
_cell_length_c 10.185
_cell_angle_alpha 90.00
_cell_angle_beta 90.00
_cell_angle_gamma 90.00
loop_
_atom_site_label
_atom_site_type_symbol
_atom_site_fract_x
_atom_site_fract_y
_atom_site_fract_z
Pr1 Pr 0.000 0.000 0.000
Sm1 Sm 0.000 0.500 0.250
Dy1 Dy 0.000 0.500 0.750
Y1 Y 0.000 0.000 0.500
```

Peak list (6 most intense, 2θ from 10° to 90°, sorted by position)
| d [Å] | 2theta | I/Imax | hkl |
| --- | --- | --- | --- |
| 2.953 | 30.27 | 100.0 | 1 1 2 |
| 2.563 | 35.01 | 33.9 | 2 0 0 |
| 2.546 | 35.25 | 16.6 | 0 0 4 |
| 1.806 | 50.53 | 23.9 | 2 0 4 |
| 1.544 | 59.89 | 28.6 | 3 1 2 |
| 1.537 | 60.20 | 14.1 | 1 1 6 |

7.
This entry pairs a crystal structure of La2TbOs2N6 with its theoretical powder X-ray diffraction pattern. Radiation: Cu Ka. Structure: a GGA-PBE-relaxed structure.

Atomic structure:
```
data_La2TbOs2N6
_space_group_name_H-M_alt 'R -3 m'
_space_group_IT_number 166
_space_group_name_Hall '-R 3 2"'
_cell_length_a 5.7796
_cell_length_b 5.7796
_cell_length_c 18.1311
_cell_angle_alpha 90.00
_cell_angle_beta 90.00
_cell_angle_gamma 120.00
loop_
_atom_site_label
_atom_site_type_symbol
_atom_site_fract_x
_atom_site_fract_y
_atom_site_fract_z
La1 La 0.0000 0.0000 0.2088
Tb1 Tb 0.0000 0.0000 0.0000
Os1 Os 0.0000 0.0000 0.3980
N1 N 0.0086 0.5043 0.7636
```

Peak list (6 most intense, 2θ from 10° to 90°, sorted by position)
| d [Å] | 2theta | I/Imax | hkl |
| --- | --- | --- | --- |
| 2.937 | 30.44 | 100.0 | 0 1 5 |
| 2.890 | 30.94 | 95.2 | 1 1 0 |
| 2.060 | 43.96 | 41.2 | 2 0 5 |
| 1.705 | 53.77 | 20.4 | 1 0 10 |
| 1.677 | 54.72 | 41.5 | 1 2 5 |
| 1.668 | 55.04 | 19.2 | 3 0 0 |

Q: What is the formula in the seventh record?
A: La2TbOs2N6